[1]
This entry pairs a crystal structure of AcMnGe2 with its computed XRD peak list. Radiation: a wavelength of 1.5418 Å. Structure: a PBE-relaxed structure.
Kinematic intensities with the Lorentz-polarization factor, no thermal factor.

Unit cell a=6.195 b=6.195 c=6.195 alpha=40.41 beta=40.41 gamma=40.41
Element x y z (fractional)
Ac 0.000 0.000 0.000
Mn 0.500 0.500 0.500
Ge 0.214 0.214 0.214
Ge 0.786 0.786 0.786

Peak list (6 most intense, 2θ = 10–90°, low angle first)
2θ/deg  I_rel
24.6  538
26.2  235
32.0  1000
35.8  485
42.2  621
54.0  228



[2]
This entry pairs a crystal structure of Tc3Ir4Rh12 with its computed XRD peak list. Radiation: a wavelength of 1.5418 Å. Structure: a PBE-relaxed structure.
Kinematic intensities with the Lorentz-polarization factor, no thermal factor.

Unit cell a=8.007 b=8.007 c=8.007 alpha=109.47 beta=109.47 gamma=109.47
Element x y z (fractional)
Tc 0.000 0.500 0.500
Tc 0.500 0.000 0.500
Tc 0.500 0.500 0.000
Ir 0.000 0.000 0.500
Ir 0.000 0.500 0.000
Ir 0.500 0.000 0.000
Ir 0.500 0.500 0.500
Rh 0.095 0.360 0.736
Rh 0.264 0.624 0.360
Rh 0.264 0.905 0.640
Rh 0.360 0.264 0.624
Rh 0.360 0.736 0.095
Rh 0.376 0.640 0.736
Rh 0.624 0.360 0.264
Rh 0.640 0.264 0.905
Rh 0.640 0.736 0.376
Rh 0.736 0.095 0.360
Rh 0.736 0.376 0.640
Rh 0.905 0.640 0.264

Peak list (6 most intense, 2θ = 10–90°, low angle first)
2θ/deg  I_rel
13.5  896
27.3  458
39.0  485
43.8  584
48.2  1000
77.2  494



[3]
This entry pairs a crystal structure of KTmCl4 with its computed XRD peak list. Radiation: a wavelength of 1.5418 Å. Structure: a PBE-relaxed structure.
Kinematic intensities with the Lorentz-polarization factor, no thermal factor.

Unit cell a=8.999 b=8.999 c=6.628 alpha=108.29 beta=108.29 gamma=115.28
Element x y z (fractional)
K 0.161 0.839 0.750
K 0.839 0.161 0.250
Tm 0.420 0.580 0.250
Tm 0.580 0.420 0.750
Cl 0.142 0.533 0.306
Cl 0.256 0.342 0.770
Cl 0.342 0.256 0.270
Cl 0.467 0.858 0.194
Cl 0.533 0.142 0.806
Cl 0.658 0.744 0.730
Cl 0.744 0.658 0.230
Cl 0.858 0.467 0.694

Peak list (6 most intense, 2θ = 10–90°, low angle first)
2θ/deg  I_rel
12.8  1000
20.2  473
22.1  588
30.1  269
33.2  238
33.4  217



[4]
This entry pairs a crystal structure of Cs2TmSnTe4 with its computed XRD peak list. Radiation: a wavelength of 1.5418 Å. Structure: a PBE-relaxed structure.
Kinematic intensities with the Lorentz-polarization factor, no thermal factor.

Unit cell a=15.993 b=14.311 c=8.776 alpha=84.05 beta=62.88 gamma=33.08
Element x y z (fractional)
Cs 0.056 0.056 0.694
Cs 0.306 0.306 0.944
Cs 0.694 0.694 0.056
Cs 0.944 0.944 0.306
Tm 0.125 0.125 0.125
Tm 0.875 0.875 0.875
Sn 0.375 0.375 0.375
Sn 0.625 0.625 0.625
Te 0.042 0.321 0.420
Te 0.283 0.580 0.679
Te 0.321 0.042 0.717
Te 0.420 0.717 0.042
Te 0.580 0.283 0.958
Te 0.679 0.958 0.283
Te 0.717 0.420 0.321
Te 0.958 0.679 0.580

Peak list (6 most intense, 2θ = 10–90°, low angle first)
2θ/deg  I_rel
12.8  939
22.2  579
22.9  947
26.3  1000
31.5  688
41.1  403



[5]
This entry pairs a crystal structure of K3RhCl7 with its computed XRD peak list. Radiation: a wavelength of 1.5418 Å. Structure: a PBE-relaxed structure.
Kinematic intensities with the Lorentz-polarization factor, no thermal factor.

Unit cell a=6.633 b=6.633 c=7.781 alpha=100.23 beta=100.23 gamma=94.79
Element x y z (fractional)
K 0.000 0.000 0.000
K 0.253 0.699 0.444
K 0.699 0.253 0.444
Rh 0.520 0.520 0.946
Cl 0.119 0.119 0.412
Cl 0.190 0.535 0.790
Cl 0.370 0.370 0.151
Cl 0.513 0.850 0.118
Cl 0.535 0.190 0.790
Cl 0.666 0.666 0.728
Cl 0.850 0.513 0.118

Peak list (6 most intense, 2θ = 10–90°, low angle first)
2θ/deg  I_rel
11.8  592
13.7  1000
16.2  497
21.7  517
27.0  620
32.2  799